# Na2PrInI6
Theoretical powder XRD pattern, CuKα. Input: a structure optimized by DFT (GGA-PBE).

Principal peaks in the range 2θ = 15–90°, in order of rising 2θ:
2θ (°)	d (Å)	intensity
20.09	4.420	111
23.65	3.762	115
24.70	3.604	1000
32.27	2.774	525
37.96	2.370	387
42.22	2.140	241
45.82	1.980	148
50.66	1.802	125
63.09	1.473	126
65.02	1.434	112

Cell and atoms:
```
10
Lattice="4.1054 2.3703 7.5244 -4.1054 2.3703 7.5244 0.0000 -4.7405 7.5244" Properties=species:S:1:pos:R:3 pbc="T T T"
Na 0.0000 0.0000 0.0000
Na 0.0000 0.0000 11.0572
Pr 0.0000 0.0000 15.3221
In 0.0000 0.0000 4.2802
I -1.4120 -2.4565 9.4416
I -2.4466 -0.2215 13.3098
I -1.4214 2.4511 9.4416
I 1.4151 -2.0080 13.3098
I 2.8334 0.0054 9.4416
I 1.0314 2.2295 13.3098
```